Entry 1:
The following is a theoretical powder XRD pattern of Mn6O7F5. It was derived from a GGA+U-relaxed structure, using Cu Kα.
Neutral-atom scattering factors, no anomalous dispersion.

Largest 10 diffraction maxima, in order of rising 2θ, 10 to 80 degrees two-theta:
d_spacing	I/Imax
3.656	100.0
3.130	72.0
2.581	18.9
2.565	25.5
2.542	13.7
2.526	20.2
1.847	13.8
1.828	31.7
1.788	17.0
1.565	14.9

a b c (Å): 4.8670 5.6923 7.6306
angles (deg): 84.62 85.37 81.98
Fractional positions:
Mn 0.0000 0.0000 0.0000
Mn 0.0025 0.3434 0.6635
Mn 0.4966 0.8410 0.6589
Mn 0.5027 0.1788 0.3276
Mn 0.5364 0.5304 0.0046
Mn 0.9953 0.6754 0.3197
O 0.3227 0.1538 0.5681
O 0.3254 0.8204 0.9005
O 0.3374 0.4950 0.2346
O 0.6791 0.5319 0.7569
O 0.6803 0.8716 0.4230
O 0.6930 0.2091 0.0922
O 0.8472 0.7290 0.0925
F 0.1585 0.2966 0.8972
F 0.1637 0.6543 0.5527
F 0.1793 0.0037 0.2120
F 0.8342 0.3604 0.4352
F 0.8361 0.0226 0.7777



Entry 2:
The following is a theoretical powder XRD pattern of Mn8O13F3. It was derived from a GGA+U-relaxed structure, using Cu Kα.
Neutral-atom scattering factors, no anomalous dispersion.

Largest 10 diffraction maxima, in order of rising 2θ, 10 to 80 degrees two-theta:
d_spacing	I/Imax
3.567	100.0
3.432	85.2
2.921	85.7
2.879	72.4
2.831	81.1
2.821	81.1
2.428	37.3
1.686	53.7
1.682	40.4
1.662	37.0

a b c (Å): 4.5165 4.9801 11.0794
angles (deg): 89.48 87.73 89.28
Fractional positions:
Mn 0.0000 0.0000 0.0000
Mn 0.0014 0.9817 0.5011
Mn 0.0150 0.4702 0.3516
Mn 0.4868 0.9867 0.2403
Mn 0.5138 0.5018 0.6001
Mn 0.5172 0.9811 0.7581
Mn 0.5239 0.4832 0.1080
Mn 0.9972 0.4818 0.8415
O 0.2291 0.6513 0.4790
O 0.2342 0.1471 0.3667
O 0.2414 0.1617 0.8704
O 0.2670 0.6559 0.2286
O 0.2743 0.6663 0.7303
O 0.2800 0.1652 0.1192
O 0.7304 0.8179 0.6186
O 0.7330 0.3140 0.7281
O 0.7347 0.3044 0.2297
O 0.7404 0.8145 0.1194
O 0.7655 0.3136 0.4789
O 0.7754 0.3232 0.9817
O 0.7834 0.8170 0.8698
F 0.2538 0.6602 0.9864
F 0.2766 0.1722 0.6218
F 0.7515 0.8012 0.3586



Entry 3:
The following is a theoretical powder XRD pattern of Mn8O13F3. It was derived from a GGA+U-relaxed structure, using Cu Kα.
Neutral-atom scattering factors, no anomalous dispersion.

Largest 10 diffraction maxima, in order of rising 2θ, 10 to 80 degrees two-theta:
d_spacing	I/Imax
3.519	57.4
3.461	53.9
2.876	98.7
2.844	100.0
2.495	24.2
2.411	42.6
2.035	19.1
1.673	46.3
1.659	38.7
1.635	36.7

a b c (Å): 4.5105 5.5084 9.9813
angles (deg): 90.02 90.06 90.98
Fractional positions:
Mn 0.0000 0.0000 0.0000
Mn 0.0002 0.0114 0.5042
Mn 0.0291 0.2978 0.2554
Mn 0.4788 0.5229 0.9988
Mn 0.4933 0.8220 0.2502
Mn 0.5032 0.8222 0.7524
Mn 0.5050 0.5105 0.5026
Mn 0.9749 0.2994 0.7572
O 0.2141 0.2759 0.9182
O 0.2231 0.0532 0.6701
O 0.2294 0.0515 0.1633
O 0.2426 0.2632 0.4158
O 0.2669 0.7734 0.9124
O 0.2679 0.5476 0.1679
O 0.2733 0.7695 0.4165
O 0.7149 0.5474 0.8363
O 0.7228 0.7750 0.0863
O 0.7318 0.7734 0.5905
O 0.7519 0.0522 0.8431
O 0.7671 0.2671 0.5896
O 0.7763 0.0510 0.3381
F 0.2369 0.5496 0.6752
F 0.7563 0.2841 0.0936
F 0.7635 0.5455 0.3290



Entry 4:
The following is a theoretical powder XRD pattern of Mn3O5F. It was derived from a GGA+U-relaxed structure, using Cu Kα.
Neutral-atom scattering factors, no anomalous dispersion.

Largest 10 diffraction maxima, in order of rising 2θ, 10 to 80 degrees two-theta:
d_spacing	I/Imax
3.214	100.0
2.516	40.7
2.509	13.1
2.272	9.1
1.688	29.8
1.684	29.4
1.607	16.3
1.509	8.9
1.437	8.8
1.354	10.0

a b c (Å): 5.4654 4.5453 7.5409
angles (deg): 90.00 93.31 90.00
Fractional positions:
Mn 0.0732 0.0000 0.3359
Mn 0.2501 0.5320 0.9892
Mn 0.4111 0.0328 0.6638
Mn 0.5889 0.5328 0.3362
Mn 0.7499 0.0320 0.0108
Mn 0.9268 0.5000 0.6641
O 0.0425 0.8222 0.1029
O 0.1205 0.2160 0.5581
O 0.2144 0.7127 0.7642
O 0.3755 0.8299 0.4341
O 0.4547 0.2138 0.8997
O 0.5453 0.7138 0.1003
O 0.6245 0.3299 0.5659
O 0.7856 0.2127 0.2358
O 0.8795 0.7160 0.4419
O 0.9575 0.3222 0.8971
F 0.2785 0.3232 0.2288
F 0.7215 0.8232 0.7712



Entry 5:
The following is a theoretical powder XRD pattern of Mn6O7F5. It was derived from a GGA+U-relaxed structure, using Cu Kα.
Neutral-atom scattering factors, no anomalous dispersion.

Largest 10 diffraction maxima, in order of rising 2θ, 10 to 80 degrees two-theta:
d_spacing	I/Imax
3.304	100.0
3.240	98.9
2.606	29.1
2.586	59.5
2.581	24.4
2.258	18.6
1.726	30.4
1.711	29.4
1.652	17.2
1.563	19.7

a b c (Å): 4.6070 5.6288 7.7500
angles (deg): 87.48 89.42 89.01
Fractional positions:
Mn 0.0000 0.0000 0.0000
Mn 0.0125 0.6686 0.3306
Mn 0.4545 0.1882 0.3422
Mn 0.4794 0.5144 0.9896
Mn 0.4986 0.8469 0.6848
Mn 0.9543 0.3227 0.6543
O 0.1844 0.9687 0.2318
O 0.2851 0.4731 0.2110
O 0.2916 0.1251 0.5743
O 0.2931 0.8042 0.8956
O 0.6953 0.5535 0.7709
O 0.7854 0.0378 0.7792
O 0.7978 0.3746 0.4279
F 0.1751 0.3086 0.8822
F 0.2149 0.6341 0.5714
F 0.6852 0.2154 0.0952
F 0.7016 0.8661 0.4482
F 0.7734 0.7177 0.1058



Entry 6:
The following is a theoretical powder XRD pattern of Mn6OF11. It was derived from a GGA+U-relaxed structure, using Cu Kα.
Neutral-atom scattering factors, no anomalous dispersion.

Largest 10 diffraction maxima, in order of rising 2θ, 10 to 80 degrees two-theta:
d_spacing	I/Imax
3.133	51.9
3.017	49.8
2.986	100.0
1.909	19.6
1.874	53.7
1.827	25.5
1.824	47.9
1.626	12.0
1.578	13.3
1.562	23.5

a b c (Å): 5.2880 5.2880 15.5468
angles (deg): 91.64 91.64 87.44
Fractional positions:
Mn 0.2343 0.7343 0.6629
Mn 0.2478 0.7522 0.0000
Mn 0.2501 0.2501 0.8290
Mn 0.2636 0.2636 0.1667
Mn 0.2657 0.7657 0.3371
Mn 0.3075 0.3075 0.4975
Mn 0.6925 0.6925 0.5025
Mn 0.7343 0.2343 0.6629
Mn 0.7364 0.7364 0.8333
Mn 0.7499 0.7499 0.1710
Mn 0.7522 0.2478 0.0000
Mn 0.7657 0.2657 0.3371
O 0.4976 0.4976 0.5810
O 0.5024 0.5024 0.4190
F 0.0040 0.3825 0.5752
F 0.0129 0.4689 0.9158
F 0.0254 0.4739 0.2566
F 0.0279 0.0279 0.7433
F 0.0318 0.0318 0.0838
F 0.1215 0.1215 0.4094
F 0.3825 0.0040 0.5752
F 0.4689 0.0129 0.9158
F 0.4739 0.0254 0.2566
F 0.4771 0.4771 0.7511
F 0.4864 0.4864 0.0822
F 0.5136 0.5136 0.9178
F 0.5229 0.5229 0.2489
F 0.5261 0.9746 0.7434
F 0.5311 0.9871 0.0842
F 0.6175 0.9960 0.4248
F 0.8785 0.8785 0.5906
F 0.9682 0.9682 0.9162
F 0.9721 0.9721 0.2567
F 0.9746 0.5261 0.7434
F 0.9871 0.5311 0.0842
F 0.9960 0.6175 0.4248



Entry 7:
The following is a theoretical powder XRD pattern of Mn5O3F5. It was derived from a GGA+U-relaxed structure, using Cu Kα.
Neutral-atom scattering factors, no anomalous dispersion.

Largest 10 diffraction maxima, in order of rising 2θ, 10 to 80 degrees two-theta:
d_spacing	I/Imax
5.236	67.2
5.184	46.3
4.523	18.0
2.732	100.0
2.714	30.5
2.618	18.4
2.262	84.1
1.742	26.3
1.605	41.6
1.593	33.0

a b c (Å): 6.3730 6.3730 6.3730
angles (deg): 60.50 60.50 60.50
Fractional positions:
Mn 0.0000 0.0000 0.0000
Mn 0.3920 0.3920 0.3920
Mn 0.4862 0.9909 0.9909
Mn 0.9909 0.4862 0.9909
Mn 0.9909 0.9909 0.4862
O 0.2409 0.2409 0.7794
O 0.2409 0.7794 0.2409
O 0.7794 0.2409 0.2409
F 0.1861 0.7608 0.7608
F 0.2477 0.2477 0.2477
F 0.7547 0.7547 0.7547
F 0.7608 0.1861 0.7608
F 0.7608 0.7608 0.1861



Entry 8:
The following is a theoretical powder XRD pattern of Mn3O4F2. It was derived from a GGA+U-relaxed structure, using Cu Kα.
Neutral-atom scattering factors, no anomalous dispersion.

Largest 10 diffraction maxima, in order of rising 2θ, 10 to 80 degrees two-theta:
d_spacing	I/Imax
3.439	100.0
3.153	93.4
2.556	56.0
2.526	45.1
1.772	31.0
1.720	17.5
1.680	28.4
1.671	24.7
1.517	17.0
1.387	20.9

a b c (Å): 4.6697 5.5252 7.7083
angles (deg): 85.24 86.36 86.23
Fractional positions:
Mn 0.0000 0.0000 0.0000
Mn 0.0175 0.6792 0.3367
Mn 0.4763 0.1494 0.3245
Mn 0.5000 0.5000 0.0000
Mn 0.5237 0.8506 0.6755
Mn 0.9825 0.3208 0.6633
O 0.1962 0.9620 0.2279
O 0.3045 0.4601 0.2315
O 0.3052 0.8003 0.8968
O 0.3081 0.1301 0.5643
O 0.6919 0.8699 0.4357
O 0.6948 0.1997 0.1032
O 0.6955 0.5399 0.7685
O 0.8038 0.0380 0.7721
F 0.1914 0.2929 0.9041
F 0.1982 0.6207 0.5799
F 0.8018 0.3793 0.4201
F 0.8086 0.7071 0.0959